Diffraction record for CaCe2ErSe5. The powder diffraction line list is theoretical, not measured: it uses DFT lattice parameters and positions (GGA-PBE) and Cu Kα.
Lines closer than 0.1° are merged.

Crystal structure
a = 5.1390 Å, b = 5.1390 Å, c = 10.7868 Å
α = 90.00°, β = 90.00°, γ = 90.00°
Space group P4/mmm (No. 123)
Symmetry-distinct sites (fractional):
Ca 0.0000 0.0000 0.0000 [1 per cell]
Ce 0.5000 0.5000 0.2977 [2 per cell]
Er 0.0000 0.0000 0.5000 [1 per cell]
Se 0.0000 0.0000 0.2467 [2 per cell]
Se 0.0000 0.5000 0.5000 [2 per cell]
Se 0.5000 0.5000 0.0000 [1 per cell]

Largest 8 diffraction maxima, in order of rising 2θ, 10 to 90 degrees two-theta:
24.50°, d 3.634, intensity 100, hkl 1 1 0; 29.64°, d 3.014, intensity 26, hkl 1 1 2; 30.34°, d 2.946, intensity 67, hkl 1 0 3; 33.22°, d 2.697, intensity 36, hkl 0 0 4; 34.92°, d 2.570, intensity 97, hkl 2 0 0; 46.92°, d 1.936, intensity 40, hkl 2 1 3; 48.97°, d 1.860, intensity 47, hkl 2 0 4; 50.21°, d 1.817, intensity 34, hkl 2 2 0